1.
Computed powder XRD pattern of Ce3Sm2S8 for λ = 1.5418 Å (Cu Kα), from a DFT-relaxed cell (PBE, Alexandria).

Structure:
Cell: 8.163 8.163 6.869 Å, 107.79 107.79 59.78°
Sites, in units of the cell vectors:
Ce 0.000 0.000 0.000
Ce 0.262 0.738 0.500
Ce 0.738 0.262 0.500
Sm 0.267 0.267 0.844
Sm 0.733 0.733 0.156
S 0.101 0.645 0.086
S 0.116 0.116 0.431
S 0.355 0.899 0.914
S 0.390 0.390 0.606
S 0.610 0.610 0.394
S 0.645 0.101 0.086
S 0.884 0.884 0.569
S 0.899 0.355 0.914

The 10 most intense peaks (10 to 80 degrees two-theta), sorted by position:
d (Å)	two_theta	I (rel.)
5.731	15.46	41
4.332	20.50	100
3.899	22.81	83
3.467	25.70	56
3.438	25.92	40
3.316	26.89	83
2.647	33.86	81
2.221	40.61	38
2.187	41.27	81
1.995	45.47	73

=====

2.
Computed powder XRD pattern of Ce6SmS8 for λ = 1.5418 Å (Cu Kα), from a DFT-relaxed cell (PBE, Alexandria).

Structure:
Cell: 8.042 8.042 8.042 Å, 60.00 60.00 60.00°
Sites, in units of the cell vectors:
Ce 0.000 0.000 0.500
Ce 0.000 0.500 0.000
Ce 0.000 0.500 0.500
Ce 0.500 0.000 0.000
Ce 0.500 0.000 0.500
Ce 0.500 0.500 0.000
Sm 0.000 0.000 0.000
S 0.249 0.249 0.751
S 0.249 0.751 0.249
S 0.249 0.751 0.751
S 0.250 0.250 0.250
S 0.750 0.750 0.750
S 0.751 0.249 0.249
S 0.751 0.249 0.751
S 0.751 0.751 0.249

The 10 most intense peaks (10 to 80 degrees two-theta), sorted by position:
d (Å)	two_theta	I (rel.)
6.567	13.48	15
3.429	25.98	9
3.283	27.16	62
2.843	31.46	100
2.011	45.09	72
1.715	53.44	31
1.642	56.02	25
1.422	65.67	11
1.305	72.44	13
1.272	74.64	32

=====

3.
Computed powder XRD pattern of Ce2SmS3 for λ = 1.5418 Å (Cu Kα), from a DFT-relaxed cell (PBE, Alexandria).

Structure:
Cell: 6.952 6.952 6.952 Å, 146.46 131.79 60.01°
Sites, in units of the cell vectors:
Ce 0.166 0.166 0.000
Ce 0.834 0.834 0.000
Sm 0.500 0.500 0.000
S 0.000 0.500 0.500
S 0.334 0.834 0.500
S 0.666 0.166 0.500

The 8 most intense peaks (10 to 80 degrees two-theta), sorted by position:
d (Å)	two_theta	I (rel.)
3.277	27.21	73
2.838	31.52	100
2.007	45.18	72
1.711	53.54	36
1.639	56.13	25
1.419	65.81	12
1.302	72.60	15
1.269	74.80	32

=====

4.
Computed powder XRD pattern of CeSm4S6 for λ = 1.5418 Å (Cu Kα), from a DFT-relaxed cell (PBE, Alexandria).

Structure:
Cell: 6.904 6.904 20.143 Å, 90.00 90.00 146.72°
Sites, in units of the cell vectors:
Ce 0.156 0.844 0.750
Ce 0.844 0.156 0.250
Sm 0.091 0.909 0.128
Sm 0.091 0.909 0.372
Sm 0.361 0.639 0.041
Sm 0.361 0.639 0.459
Sm 0.639 0.361 0.541
Sm 0.639 0.361 0.959
Sm 0.909 0.091 0.628
Sm 0.909 0.091 0.872
S 0.000 0.000 0.000
S 0.000 0.000 0.500
S 0.192 0.808 0.250
S 0.269 0.731 0.590
S 0.269 0.731 0.910
S 0.451 0.549 0.168
S 0.451 0.549 0.332
S 0.549 0.451 0.668
S 0.549 0.451 0.832
S 0.731 0.269 0.090
S 0.731 0.269 0.410
S 0.808 0.192 0.750

The 10 most intense peaks (10 to 80 degrees two-theta), sorted by position:
d (Å)	two_theta	I (rel.)
3.546	25.11	28
3.441	25.89	100
3.303	27.00	75
2.913	30.69	34
2.826	31.66	80
2.696	33.23	54
2.097	43.14	40
2.015	44.98	35
1.977	45.90	29
1.714	53.45	28

=====

5.
Computed powder XRD pattern of Ce3Sm4S8 for λ = 1.5418 Å (Cu Kα), from a DFT-relaxed cell (PBE, Alexandria).

Structure:
Cell: 8.029 8.029 8.014 Å, 119.93 119.93 90.03°
Sites, in units of the cell vectors:
Ce 0.000 0.000 0.000
Ce 0.000 0.500 0.000
Ce 0.500 0.000 0.000
Sm 0.000 0.500 0.500
Sm 0.500 0.000 0.500
Sm 0.500 0.500 0.000
Sm 0.500 0.500 0.500
S 0.251 0.251 0.500
S 0.251 0.749 0.000
S 0.251 0.749 0.500
S 0.252 0.252 0.002
S 0.748 0.748 0.998
S 0.749 0.251 0.000
S 0.749 0.251 0.500
S 0.749 0.749 0.500

The 10 most intense peaks (10 to 80 degrees two-theta), sorted by position:
d (Å)	two_theta	I (rel.)
6.557	13.50	14
3.278	27.21	65
2.839	31.52	100
2.008	45.15	60
2.004	45.26	12
1.713	53.50	22
1.641	56.05	13
1.637	56.19	12
1.419	65.80	12
1.270	74.74	16

=====

6.
Computed powder XRD pattern of CeSm3Tl4S8 for λ = 1.5418 Å (Cu Kα), from a DFT-relaxed cell (PBE, Alexandria).

Structure:
Cell: 8.898 8.898 8.898 Å, 55.57 55.57 55.57°
Sites, in units of the cell vectors:
Ce 0.000 0.000 0.000
Sm 0.000 0.500 0.500
Sm 0.500 0.000 0.500
Sm 0.500 0.500 0.000
Tl 0.000 0.000 0.500
Tl 0.000 0.500 0.000
Tl 0.500 0.000 0.000
Tl 0.500 0.500 0.500
S 0.235 0.235 0.732
S 0.235 0.732 0.235
S 0.266 0.266 0.266
S 0.268 0.765 0.765
S 0.732 0.235 0.235
S 0.734 0.734 0.734
S 0.765 0.268 0.765
S 0.765 0.765 0.268

The 10 most intense peaks (10 to 80 degrees two-theta), sorted by position:
d (Å)	two_theta	I (rel.)
3.750	23.73	28
3.422	26.04	63
3.028	29.50	100
2.214	40.75	38
2.074	43.64	35
1.907	47.70	16
1.815	50.27	24
1.711	53.56	19
1.391	67.32	16
1.320	71.48	16

=====

7.
Computed powder XRD pattern of CeSnS4 for λ = 1.5418 Å (Cu Kα), from a DFT-relaxed cell (PBE, Alexandria).

Structure:
Cell: 6.922 6.922 7.457 Å, 90.00 90.00 110.96°
Sites, in units of the cell vectors:
Ce 0.000 0.500 0.000
Ce 0.500 0.000 0.500
Sn 0.000 0.000 0.250
Sn 0.000 0.000 0.750
S 0.225 0.234 0.000
S 0.229 0.771 0.250
S 0.229 0.771 0.750
S 0.234 0.225 0.500
S 0.766 0.775 0.500
S 0.771 0.229 0.250
S 0.771 0.229 0.750
S 0.775 0.766 0.000

The 10 most intense peaks (10 to 80 degrees two-theta), sorted by position:
d (Å)	two_theta	I (rel.)
6.464	13.70	91
4.884	18.16	100
3.231	27.61	41
3.110	28.71	29
2.851	31.37	49
2.703	33.15	86
2.103	43.01	25
1.961	46.29	79
1.616	57.00	21
1.561	59.21	26

=====

8.
Computed powder XRD pattern of Ce3Sn2S8 for λ = 1.5418 Å (Cu Kα), from a DFT-relaxed cell (PBE, Alexandria).

Structure:
Cell: 8.222 8.222 6.953 Å, 106.59 106.59 60.82°
Sites, in units of the cell vectors:
Ce 0.000 0.000 0.000
Ce 0.263 0.737 0.500
Ce 0.737 0.263 0.500
Sn 0.240 0.240 0.818
Sn 0.760 0.760 0.182
S 0.101 0.663 0.101
S 0.108 0.108 0.415
S 0.337 0.899 0.899
S 0.394 0.394 0.576
S 0.606 0.606 0.424
S 0.663 0.101 0.101
S 0.892 0.892 0.585
S 0.899 0.337 0.899

The 10 most intense peaks (10 to 80 degrees two-theta), sorted by position:
d (Å)	two_theta	I (rel.)
7.068	12.52	37
6.690	13.23	37
5.728	15.47	46
4.437	20.01	96
3.913	22.72	47
3.534	25.20	40
3.367	26.47	43
2.671	33.55	100
2.622	34.20	53
2.025	44.76	54

=====

Question: Number 1 is which compound?
Answer: Ce3Sm2S8

=====

Copy entry 8 word for word.
Computed powder XRD pattern of Ce3Sn2S8 for λ = 1.5418 Å (Cu Kα), from a DFT-relaxed cell (PBE, Alexandria).

Structure:
Cell: 8.222 8.222 6.953 Å, 106.59 106.59 60.82°
Sites, in units of the cell vectors:
Ce 0.000 0.000 0.000
Ce 0.263 0.737 0.500
Ce 0.737 0.263 0.500
Sn 0.240 0.240 0.818
Sn 0.760 0.760 0.182
S 0.101 0.663 0.101
S 0.108 0.108 0.415
S 0.337 0.899 0.899
S 0.394 0.394 0.576
S 0.606 0.606 0.424
S 0.663 0.101 0.101
S 0.892 0.892 0.585
S 0.899 0.337 0.899

The 10 most intense peaks (10 to 80 degrees two-theta), sorted by position:
d (Å)	two_theta	I (rel.)
7.068	12.52	37
6.690	13.23	37
5.728	15.47	46
4.437	20.01	96
3.913	22.72	47
3.534	25.20	40
3.367	26.47	43
2.671	33.55	100
2.622	34.20	53
2.025	44.76	54